Record 1
Computed powder X-ray diffraction pattern of SmDy3Te4 for Cu Kα (λ = 1.5418 Å), from a cell relaxed with PBE.
Kinematic intensities with the Lorentz-polarization factor, no thermal factor.

```
data_SmDy3Te4
_chemical_formula_sum 'Sm1 Dy3 Te4'
_space_group_name_H-M_alt 'P 1'
_space_group_IT_number 1
_space_group_name_Hall 'P 1'
_cell_length_a 7.6153
_cell_length_b 7.6153
_cell_length_c 4.3154
_cell_angle_alpha 90.00
_cell_angle_beta 90.00
_cell_angle_gamma 108.75
loop_
_atom_site_label
_atom_site_type_symbol
_atom_site_fract_x
_atom_site_fract_y
_atom_site_fract_z
Sm1 Sm 0.0000 0.0000 0.0000
Dy1 Dy 0.0000 0.5000 0.5000
Dy2 Dy 0.5000 0.0000 0.5000
Dy3 Dy 0.5000 0.5000 0.0000
Te1 Te 0.2526 0.7474 0.0000
Te2 Te 0.2551 0.2551 0.5000
Te3 Te 0.7449 0.7449 0.5000
Te4 Te 0.7474 0.2526 0.0000
```

Top 6 peaks for 15° ≤ 2θ ≤ 90°, most intense first:
| 2θ/deg | Rel. int. |
| --- | --- |
| 28.86 | 100 |
| 41.26 | 51 |
| 67.72 | 23 |
| 50.63 | 14 |
| 51.64 | 13 |
| 40.68 | 13 |


Record 2
Computed powder X-ray diffraction pattern of Ti6GaHg for Cu Kα (λ = 1.5418 Å), from a cell relaxed with PBE.
Kinematic intensities with the Lorentz-polarization factor, no thermal factor.

```
data_Ti6GaHg
_chemical_formula_sum 'Ti6 Ga1 Hg1'
_space_group_name_H-M_alt 'P 1'
_space_group_IT_number 1
_space_group_name_Hall 'P 1'
_cell_length_a 4.0753
_cell_length_b 4.0753
_cell_length_c 8.1589
_cell_angle_alpha 90.00
_cell_angle_beta 90.00
_cell_angle_gamma 90.00
loop_
_atom_site_label
_atom_site_type_symbol
_atom_site_fract_x
_atom_site_fract_y
_atom_site_fract_z
Ti1 Ti 0.0000 0.0000 0.0000
Ti2 Ti 0.0000 0.0000 0.5000
Ti3 Ti 0.0000 0.5000 0.2399
Ti4 Ti 0.0000 0.5000 0.7601
Ti5 Ti 0.5000 0.0000 0.2399
Ti6 Ti 0.5000 0.0000 0.7601
Ga1 Ga 0.5000 0.5000 0.0000
Hg1 Hg 0.5000 0.5000 0.5000
```

Top 6 peaks for 15° ≤ 2θ ≤ 90°, most intense first:
| 2θ/deg | Rel. int. |
| --- | --- |
| 38.24 | 100 |
| 44.45 | 48 |
| 77.69 | 34 |
| 21.80 | 31 |
| 64.67 | 29 |
| 31.02 | 27 |


Record 3
Computed powder X-ray diffraction pattern of Ho2USe6 for Cu Kα (λ = 1.5418 Å), from a cell relaxed with PBE.
Kinematic intensities with the Lorentz-polarization factor, no thermal factor.

```
data_Ho2USe6
_chemical_formula_sum 'Ho4 U2 Se12'
_space_group_name_H-M_alt 'P 1'
_space_group_IT_number 1
_space_group_name_Hall 'P 1'
_cell_length_a 6.6359
_cell_length_b 6.6359
_cell_length_c 12.4095
_cell_angle_alpha 90.00
_cell_angle_beta 90.00
_cell_angle_gamma 90.00
loop_
_atom_site_label
_atom_site_type_symbol
_atom_site_fract_x
_atom_site_fract_y
_atom_site_fract_z
Ho1 Ho 0.0000 0.0000 0.1645
Ho2 Ho 0.0000 0.0000 0.8355
Ho3 Ho 0.5000 0.5000 0.3355
Ho4 Ho 0.5000 0.5000 0.6645
U1 U 0.0000 0.0000 0.5000
U2 U 0.5000 0.5000 0.0000
Se1 Se 0.1941 0.1941 0.3403
Se2 Se 0.1941 0.1941 0.6597
Se3 Se 0.2082 0.2082 0.0000
Se4 Se 0.2918 0.7082 0.5000
Se5 Se 0.3059 0.6941 0.1597
Se6 Se 0.3059 0.6941 0.8403
Se7 Se 0.6941 0.3059 0.1597
Se8 Se 0.6941 0.3059 0.8403
Se9 Se 0.7082 0.2918 0.5000
Se10 Se 0.7918 0.7918 0.0000
Se11 Se 0.8059 0.8059 0.3403
Se12 Se 0.8059 0.8059 0.6597
```

Top 6 peaks for 15° ≤ 2θ ≤ 90°, most intense first:
| 2θ/deg | Rel. int. |
| --- | --- |
| 18.91 | 100 |
| 37.29 | 92 |
| 46.56 | 48 |
| 25.37 | 44 |
| 28.77 | 37 |
| 38.37 | 35 |


Record 4
Computed powder X-ray diffraction pattern of RbNdGeO4 for Cu Kα (λ = 1.5418 Å), from a cell relaxed with PBE.
Kinematic intensities with the Lorentz-polarization factor, no thermal factor.

```
data_RbNdGeO4
_chemical_formula_sum 'Rb2 Nd2 Ge2 O8'
_space_group_name_H-M_alt 'P 1'
_space_group_IT_number 1
_space_group_name_Hall 'P 1'
_cell_length_a 5.9441
_cell_length_b 5.9722
_cell_length_c 7.7694
_cell_angle_alpha 90.00
_cell_angle_beta 106.73
_cell_angle_gamma 90.00
loop_
_atom_site_label
_atom_site_type_symbol
_atom_site_fract_x
_atom_site_fract_y
_atom_site_fract_z
Rb1 Rb 0.1876 0.2500 0.4267
Rb2 Rb 0.8124 0.7500 0.5733
Nd1 Nd 0.2881 0.2500 0.9560
Nd2 Nd 0.7119 0.7500 0.0440
Ge1 Ge 0.2490 0.7500 0.1631
Ge2 Ge 0.7510 0.2500 0.8369
O1 O 0.0557 0.7500 0.9403
O2 O 0.0609 0.7500 0.3020
O3 O 0.4514 0.5218 0.1805
O4 O 0.4514 0.9782 0.1805
O5 O 0.5486 0.0218 0.8195
O6 O 0.5486 0.4782 0.8195
O7 O 0.9391 0.2500 0.6980
O8 O 0.9443 0.2500 0.0597
```

Top 6 peaks for 15° ≤ 2θ ≤ 90°, most intense first:
| 2θ/deg | Rel. int. |
| --- | --- |
| 29.92 | 100 |
| 28.26 | 91 |
| 28.79 | 83 |
| 21.57 | 81 |
| 36.98 | 65 |
| 35.73 | 63 |


Record 5
Computed powder X-ray diffraction pattern of La2Dy4Th5 for Cu Kα (λ = 1.5418 Å), from a cell relaxed with PBE.
Kinematic intensities with the Lorentz-polarization factor, no thermal factor.

```
data_La2Dy4Th5
_chemical_formula_sum 'La2 Dy4 Th5'
_space_group_name_H-M_alt 'P 1'
_space_group_IT_number 1
_space_group_name_Hall 'P 1'
_cell_length_a 8.8488
_cell_length_b 3.4756
_cell_length_c 11.7892
_cell_angle_alpha 90.00
_cell_angle_beta 94.07
_cell_angle_gamma 90.00
loop_
_atom_site_label
_atom_site_type_symbol
_atom_site_fract_x
_atom_site_fract_y
_atom_site_fract_z
La1 La 0.0525 0.0000 0.1338
La2 La 0.9475 0.0000 0.8662
Dy1 Dy 0.1610 0.5000 0.4086
Dy2 Dy 0.3140 0.5000 0.9423
Dy3 Dy 0.6860 0.5000 0.0577
Dy4 Dy 0.8390 0.5000 0.5914
Th1 Th 0.2063 0.0000 0.6764
Th2 Th 0.4174 0.0000 0.2155
Th3 Th 0.5000 0.0000 0.5000
Th4 Th 0.5826 0.0000 0.7845
Th5 Th 0.7937 0.0000 0.3236
```

Top 6 peaks for 15° ≤ 2θ ≤ 90°, most intense first:
| 2θ/deg | Rel. int. |
| --- | --- |
| 30.80 | 100 |
| 31.38 | 98 |
| 31.59 | 95 |
| 31.22 | 53 |
| 29.86 | 41 |
| 31.93 | 40 |


Record 6
Computed powder X-ray diffraction pattern of SrDyGa6 for Cu Kα (λ = 1.5418 Å), from a cell relaxed with PBE.
Kinematic intensities with the Lorentz-polarization factor, no thermal factor.

```
data_SrDyGa6
_chemical_formula_sum 'Sr1 Dy1 Ga6'
_space_group_name_H-M_alt 'P 1'
_space_group_IT_number 1
_space_group_name_Hall 'P 1'
_cell_length_a 4.4052
_cell_length_b 6.4873
_cell_length_c 6.0140
_cell_angle_alpha 90.00
_cell_angle_beta 90.00
_cell_angle_gamma 90.00
loop_
_atom_site_label
_atom_site_type_symbol
_atom_site_fract_x
_atom_site_fract_y
_atom_site_fract_z
Sr1 Sr 0.0000 0.0000 0.0000
Dy1 Dy 0.5000 0.5000 0.2372
Ga1 Ga 0.0000 0.2626 0.4739
Ga2 Ga 0.0000 0.5000 0.8825
Ga3 Ga 0.0000 0.7374 0.4739
Ga4 Ga 0.5000 0.0000 0.4186
Ga5 Ga 0.5000 0.2822 0.7569
Ga6 Ga 0.5000 0.7178 0.7569
```

Top 6 peaks for 15° ≤ 2θ ≤ 90°, most intense first:
| 2θ/deg | Rel. int. |
| --- | --- |
| 37.54 | 100 |
| 36.17 | 50 |
| 31.33 | 34 |
| 40.97 | 34 |
| 28.64 | 26 |
| 72.36 | 24 |